Record 1
Computed XRD peak list
Compound: Os4SeBr
Radiation: Cu Ka
Structure: a cell relaxed with GGA-PBE
Kinematic intensities with the Lorentz-polarization factor, no thermal factor.

Crystal structure
```
Os4SeBr
1.0
0.0000 3.7445 3.7445
3.7445 0.0000 3.7445
3.7445 3.7445 0.0000
Os Se Br
4 1 1
Cartesian
0.9307 0.9307 0.9307 Os
2.8138 2.8138 0.9307 Os
2.8138 0.9307 2.8138 Os
0.9307 2.8138 2.8138 Os
5.6168 5.6168 5.6168 Se
3.7445 3.7445 3.7445 Br
```

Principal peaks in the range 2θ from 10° to 80°, in order of rising 2θ:
2theta	I_rel
20.5	50
33.9	9
39.9	100
41.8	69
48.6	21
53.3	13
60.6	3
64.7	32
71.2	32
75.0	9



Record 2
Computed XRD peak list
Compound: SrOsBr2
Radiation: Cu Ka
Structure: a cell relaxed with GGA-PBE
Kinematic intensities with the Lorentz-polarization factor, no thermal factor.

Crystal structure
```
SrOsBr2
1.0
-1.9184 2.5759 5.9212
1.9184 -2.5759 5.9212
1.9184 2.5759 -5.9212
Sr Os Br
1 1 2
Cartesian
0.0000 0.0000 0.0000 Sr
0.0000 0.0000 5.9212 Os
1.9184 0.0000 4.2236 Br
0.0000 2.5759 1.6975 Br
```

Principal peaks in the range 2θ from 10° to 80°, in order of rising 2θ:
2theta	I_rel
15.0	95
18.8	81
32.5	32
32.8	100
34.8	42
38.1	19
42.4	90
47.4	18
48.4	21
60.1	17
61.2	17
67.6	22



Record 3
Computed XRD peak list
Compound: TaOs4Br
Radiation: Cu Ka
Structure: a cell relaxed with GGA-PBE
Kinematic intensities with the Lorentz-polarization factor, no thermal factor.

Crystal structure
```
TaOs4Br
1.0
0.0000 3.6939 3.6939
3.6939 0.0000 3.6939
3.6939 3.6939 0.0000
Ta Os Br
1 4 1
Cartesian
0.0000 0.0000 0.0000 Ta
4.6185 2.7692 2.7692 Os
2.7692 4.6185 2.7692 Os
2.7692 2.7692 4.6185 Os
4.6185 4.6185 4.6185 Os
1.8469 1.8469 1.8469 Br
```

Principal peaks in the range 2θ from 10° to 80°, in order of rising 2θ:
2theta	I_rel
20.8	23
24.1	3
34.3	17
40.5	100
42.4	53
49.3	11
54.1	6
55.6	1
61.5	6
65.7	32
72.4	30
76.2	4



Record 4
Computed XRD peak list
Compound: TlOsBr4
Radiation: Cu Ka
Structure: a cell relaxed with GGA-PBE
Kinematic intensities with the Lorentz-polarization factor, no thermal factor.

Crystal structure
```
TlOsBr4
1.0
0.0000 4.5538 4.5538
4.5538 0.0000 4.5538
4.5538 4.5538 0.0000
Tl Os Br
1 1 4
Cartesian
0.0000 0.0000 0.0000 Tl
2.2769 2.2769 2.2769 Os
5.6895 3.4180 3.4180 Br
3.4180 5.6895 3.4180 Br
3.4180 3.4180 5.6895 Br
5.6895 5.6895 5.6895 Br
```

Principal peaks in the range 2θ from 10° to 80°, in order of rising 2θ:
2theta	I_rel
16.9	9
27.7	59
32.6	100
34.1	17
43.3	3
49.0	25
52.2	35
57.2	27
64.7	11
67.4	12
68.3	6
78.6	13



Record 5
Computed XRD peak list
Compound: TlOsBr
Radiation: Cu Ka
Structure: a cell relaxed with GGA-PBE
Kinematic intensities with the Lorentz-polarization factor, no thermal factor.

Crystal structure
```
TlOsBr
1.0
0.0000 2.8024 7.9610
1.5109 0.0000 7.9610
1.5109 2.8024 0.0000
Tl Os Br
1 1 1
Cartesian
0.0000 0.0000 0.0000 Tl
1.5109 2.8024 5.4105 Os
1.5109 2.8024 11.3905 Br
```

Principal peaks in the range 2θ from 10° to 80°, in order of rising 2θ:
2theta	I_rel
11.1	45
22.3	12
31.9	44
33.8	25
34.2	8
37.8	100
44.4	17
47.2	20
60.9	25
63.1	12
70.9	9
74.7	8



Record 6
Computed XRD peak list
Compound: Y4OsBr4
Radiation: Cu Ka
Structure: a cell relaxed with GGA-PBE
Kinematic intensities with the Lorentz-polarization factor, no thermal factor.

Crystal structure
```
Y4OsBr4
1.0
6.3808 -6.3014 0.0000
6.3808 6.3014 0.0000
-0.0917 0.0000 6.5763
Y Os Br
8 2 8
Cartesian
2.2076 0.9540 0.0604 Y
5.3730 4.0990 3.3535 Y
2.1617 -0.9540 3.3485 Y
7.2512 4.0990 6.5110 Y
5.4188 -4.0990 0.0653 Y
10.5083 0.9540 3.2278 Y
7.2971 -4.0990 3.2228 Y
10.4625 -0.9540 6.5159 Y
6.3579 6.2404 1.6441 Os
6.3121 -6.2404 4.9322 Os
4.7941 2.4973 5.9814 Br
3.8182 1.4171 2.6782 Br
3.7724 -1.4171 5.9664 Br
7.8301 2.4973 3.8831 Br
4.8400 -2.4973 2.6932 Br
8.8976 1.4171 0.6099 Br
8.8518 -1.4171 3.8981 Br
7.8759 -2.4973 0.5949 Br
```

Principal peaks in the range 2θ from 10° to 80°, in order of rising 2θ:
2theta	I_rel
22.1	25
30.7	60
31.4	37
31.7	33
33.6	47
34.2	64
34.5	100
34.6	41
35.5	72
38.7	28
39.1	26
39.6	25